For Na4Np3ScS8, a DFT-relaxed cell (GGA-PBE, Alexandria) gives the calculated powder diffraction line list in this record (a wavelength of 1.5418 Å).
No peak broadening, texture or thermal motion is included.

Atomic structure:
```
data_Na4Np3ScS8
_symmetry_space_group_name_H-M 'R -3 m'
_symmetry_Int_Tables_number 166
_symmetry_space_group_name_Hall '-R 3 2"'
_cell_length_a 7.9110
_cell_length_b 7.9110
_cell_length_c 19.9660
_cell_angle_alpha 90.00
_cell_angle_beta 90.00
_cell_angle_gamma 120.00
loop_
_atom_site_label
_atom_site_type_symbol
_atom_site_fract_x
_atom_site_fract_y
_atom_site_fract_z
Na1 Na 0.0000 0.0000 0.0000
Na2 Na 0.0000 0.5000 0.0000
Np1 Np 0.0000 0.5000 0.5000
Sc1 Sc 0.0000 0.0000 0.5000
S1 S 0.0000 0.0000 0.2426
S2 S 0.0110 0.5055 0.2411
```

Largest 8 diffraction maxima, by intensity, 10 to 90 degrees two-theta:
31.68°, I = 100, hkl 0 2 4; 13.30°, I = 98, hkl 0 0 3; 26.40°, I = 51, hkl 0 2 1; 27.53°, I = 37, hkl 2 0 2; 44.94°, I = 36, hkl 2 0 8; 45.88°, I = 35, hkl 2 2 0; 47.99°, I = 25, hkl 2 2 3; 41.18°, I = 22, hkl 0 2 7